1.
Structure and calculated powder X-ray diffraction pattern of Mn2BiPO6 (a GGA+U-relaxed structure; Cu Kα X-rays).

Cell: 12.3274 5.4410 8.2216 Å, 90.00 90.00 90.00°
Atoms (fractional coordinates):
Mn: 0.0987 0.2500 0.2065
Mn: 0.1033 0.2500 0.8089
Mn: 0.3967 0.7500 0.3089
Mn: 0.4013 0.7500 0.7065
Mn: 0.5987 0.2500 0.2935
Mn: 0.6033 0.2500 0.6911
Mn: 0.8967 0.7500 0.1911
Mn: 0.9013 0.7500 0.7935
Bi: 0.0931 0.7500 0.4868
Bi: 0.4069 0.2500 0.9868
Bi: 0.5931 0.7500 0.0132
Bi: 0.9069 0.2500 0.5132
P: 0.1978 0.7500 0.0292
P: 0.3022 0.2500 0.5292
P: 0.6978 0.7500 0.4708
P: 0.8022 0.2500 0.9708
O: 0.0064 0.0016 0.6665
O: 0.0064 0.4984 0.6665
O: 0.1270 0.5128 0.0075
O: 0.1270 0.9872 0.0075
O: 0.2085 0.2500 0.4053
O: 0.2407 0.7500 0.2068
O: 0.2593 0.2500 0.7068
O: 0.2915 0.7500 0.9053
O: 0.3730 0.0128 0.5075
O: 0.3730 0.4872 0.5075
O: 0.4936 0.5016 0.1665
O: 0.4936 0.9984 0.1665
O: 0.5064 0.0016 0.8335
O: 0.5064 0.4984 0.8335
O: 0.6270 0.5128 0.4925
O: 0.6270 0.9872 0.4925
O: 0.7085 0.2500 0.0947
O: 0.7407 0.7500 0.2932
O: 0.7593 0.2500 0.7932
O: 0.7915 0.7500 0.5947
O: 0.8730 0.0128 0.9925
O: 0.8730 0.4872 0.9925
O: 0.9936 0.5016 0.3335
O: 0.9936 0.9984 0.3335

The 12 most intense peaks (2θ from 15° to 90°), sorted by position:
| two_theta | I_rel |
| --- | --- |
| 20.86 | 20.8 |
| 21.62 | 16.1 |
| 29.32 | 96.5 |
| 30.88 | 100.0 |
| 32.92 | 25.4 |
| 33.49 | 16.8 |
| 35.51 | 17.0 |
| 40.15 | 18.9 |
| 47.68 | 28.6 |
| 49.74 | 16.3 |
| 56.06 | 27.5 |
| 56.59 | 16.0 |

---

2.
Structure and calculated powder X-ray diffraction pattern of Sr2MnBiPbO6 (a GGA+U-relaxed structure; Cu Kα X-rays).

Cell: 7.7284 7.7284 12.5119 Å, 99.07 99.07 89.01°
Atoms (fractional coordinates):
Sr: 0.0382 0.5358 0.1528
Sr: 0.0399 0.0399 0.1523
Sr: 0.4612 0.4594 0.8478
Sr: 0.4642 0.9618 0.8472
Sr: 0.5389 0.0364 0.1527
Sr: 0.5406 0.5388 0.1522
Sr: 0.9601 0.9601 0.8477
Sr: 0.9636 0.4611 0.8473
Mn: 0.2507 0.2494 0.0000
Mn: 0.2507 0.7493 0.0000
Mn: 0.7507 0.2493 0.0000
Mn: 0.7506 0.7493 0.0000
Bi: 0.1537 0.6852 0.6304
Bi: 0.3148 0.8463 0.3696
Bi: 0.6536 0.1850 0.6302
Bi: 0.8150 0.3464 0.3698
Pb: 0.1432 0.1628 0.6298
Pb: 0.3371 0.3572 0.3704
Pb: 0.6428 0.6629 0.6296
Pb: 0.8372 0.8568 0.3702
O: 0.0030 0.7510 0.0051
O: 0.0862 0.0060 0.3555
O: 0.1684 0.6127 0.3606
O: 0.1929 0.6829 0.8028
O: 0.2172 0.2147 0.8120
O: 0.2490 0.9970 0.9949
O: 0.2512 0.5020 0.0055
O: 0.2854 0.2846 0.1885
O: 0.3171 0.8071 0.1972
O: 0.3873 0.8316 0.6394
O: 0.4941 0.4136 0.6444
O: 0.4980 0.7488 0.9945
O: 0.5030 0.2511 0.0055
O: 0.5864 0.5059 0.3556
O: 0.6686 0.1126 0.3604
O: 0.6929 0.1827 0.8027
O: 0.7154 0.7146 0.8115
O: 0.7489 0.4970 0.9945
O: 0.7512 0.0018 0.0059
O: 0.7853 0.7828 0.1880
O: 0.8173 0.3071 0.1973
O: 0.8874 0.3314 0.6396
O: 0.9940 0.9138 0.6445
O: 0.9982 0.2488 0.9941

The 12 most intense peaks (2θ from 15° to 90°), sorted by position:
| two_theta | I_rel |
| --- | --- |
| 25.52 | 65.1 |
| 29.28 | 23.8 |
| 29.49 | 100.0 |
| 32.49 | 33.1 |
| 33.07 | 32.2 |
| 44.29 | 18.2 |
| 44.74 | 18.1 |
| 47.04 | 26.8 |
| 47.24 | 15.5 |
| 54.33 | 15.3 |
| 56.12 | 18.6 |
| 56.88 | 16.8 |